Calculated PXRD pattern of ZnFe4O8 for copper Kα, from a structure optimized by DFT (PBE+U).

Structural model:
Cell lengths 7.350, 7.350, 9.552 Å; angles 129.09, 129.09, 23.48 degrees
Atoms (fractional coordinates):
Zn1 0.000 0.000 0.000
Fe1 0.195 0.195 0.009
Fe2 0.492 0.492 0.638
Fe3 0.702 0.702 0.364
Fe4 0.978 0.978 0.290
O1 0.109 0.109 0.747
O2 0.163 0.163 0.449
O3 0.198 0.198 0.221
O4 0.478 0.478 0.417
O5 0.495 0.495 0.145
O6 0.544 0.544 0.901
O7 0.799 0.799 0.082
O8 0.879 0.879 0.559

Peak list (8 most intense, 5° ≤ 2θ ≤ 70°, low angle first)
12.11 deg, I = 85
12.43 deg, I = 58
16.10 deg, I = 100
29.00 deg, I = 48
29.41 deg, I = 45
32.53 deg, I = 75
35.31 deg, I = 67
49.72 deg, I = 65